(1)
Structure and computed powder diffraction line list of SnIr2Se5 (a structure optimized by DFT (PBE); Cu Kα (λ = 1.5418 Å)).
Lines closer than 0.1° are merged.

Peak list (12 most intense, 2θ from 15° to 90°, by angle)
| 2θ/deg | d/Å | I/Imax |
| --- | --- | --- |
| 21.34 | 4.163 | 39 |
| 23.39 | 3.803 | 100 |
| 27.73 | 3.217 | 85 |
| 28.32 | 3.151 | 44 |
| 31.01 | 2.884 | 88 |
| 31.80 | 2.814 | 62 |
| 35.39 | 2.536 | 36 |
| 42.81 | 2.112 | 81 |
| 47.04 | 1.932 | 67 |
| 47.63 | 1.909 | 76 |
| 47.79 | 1.903 | 61 |
| 51.63 | 1.770 | 48 |

```
data_SnIr2Se5
_chemical_formula_sum 'Sn2 Ir4 Se10'
_space_group_name_H-M_alt 'P 1 2/m 1'
_space_group_IT_number 10
_space_group_name_Hall '-P 2y'
_cell_length_a 7.7737
_cell_length_b 3.8192
_cell_length_c 12.7652
_cell_angle_alpha 90.00
_cell_angle_beta 101.95
_cell_angle_gamma 90.00
loop_
_atom_site_label
_atom_site_type_symbol
_atom_site_fract_x
_atom_site_fract_y
_atom_site_fract_z
Sn1 Sn 0.1662 0.0000 0.3406
Ir1 Ir 0.2497 0.0000 0.1488
Ir2 Ir 0.2540 0.5000 0.8488
Se1 Se 0.0447 0.5000 0.1059
Se2 Se 0.1891 0.0000 0.7152
Se3 Se 0.2478 0.5000 0.4751
Se4 Se 0.3331 0.0000 0.9724
Se5 Se 0.4609 0.5000 0.2201
```

***

(2)
Structure and computed powder diffraction line list of Si2Ir (a structure optimized by DFT (PBE); Cu Kα (λ = 1.5418 Å)).
Lines closer than 0.1° are merged.

Peak list (10 most intense, 2θ from 15° to 90°, by angle)
| 2θ/deg | d/Å | I/Imax |
| --- | --- | --- |
| 27.00 | 3.303 | 100 |
| 31.27 | 2.860 | 25 |
| 44.81 | 2.022 | 65 |
| 53.10 | 1.725 | 48 |
| 55.66 | 1.651 | 7 |
| 65.24 | 1.430 | 11 |
| 71.95 | 1.312 | 19 |
| 74.13 | 1.279 | 9 |
| 82.63 | 1.168 | 23 |
| 88.90 | 1.101 | 16 |

```
data_Si2Ir
_chemical_formula_sum 'Si8 Ir4'
_space_group_name_H-M_alt 'F m -3 m'
_space_group_IT_number 225
_space_group_name_Hall '-F 4 2 3'
_cell_length_a 5.7203
_cell_length_b 5.7203
_cell_length_c 5.7203
_cell_angle_alpha 90.00
_cell_angle_beta 90.00
_cell_angle_gamma 90.00
loop_
_atom_site_label
_atom_site_type_symbol
_atom_site_fract_x
_atom_site_fract_y
_atom_site_fract_z
Si1 Si 0.2500 0.2500 0.2500
Ir1 Ir 0.0000 0.0000 0.0000
```

***

(3)
Structure and computed powder diffraction line list of Si3Ir (a structure optimized by DFT (PBE); Cu Kα (λ = 1.5418 Å)).
Lines closer than 0.1° are merged.

Peak list (12 most intense, 2θ from 15° to 90°, by angle)
| 2θ/deg | d/Å | I/Imax |
| --- | --- | --- |
| 21.48 | 4.138 | 21 |
| 25.61 | 3.478 | 100 |
| 27.78 | 3.211 | 14 |
| 35.38 | 2.537 | 20 |
| 37.66 | 2.389 | 20 |
| 46.10 | 1.969 | 38 |
| 47.43 | 1.917 | 35 |
| 47.84 | 1.901 | 28 |
| 60.98 | 1.519 | 19 |
| 70.69 | 1.333 | 10 |
| 74.93 | 1.267 | 11 |
| 75.25 | 1.263 | 15 |

```
data_Si3Ir
_chemical_formula_sum 'Si6 Ir2'
_space_group_name_H-M_alt 'P 63 m c'
_space_group_IT_number 186
_space_group_name_Hall 'P 6c -2c'
_cell_length_a 4.7776
_cell_length_b 4.7776
_cell_length_c 6.4228
_cell_angle_alpha 90.00
_cell_angle_beta 90.00
_cell_angle_gamma 120.00
loop_
_atom_site_label
_atom_site_type_symbol
_atom_site_fract_x
_atom_site_fract_y
_atom_site_fract_z
Si1 Si 0.1673 0.3346 0.0000
Ir1 Ir 0.3333 0.6667 0.6732
```

***

(4)
Structure and computed powder diffraction line list of SiIr2 (a structure optimized by DFT (PBE); Cu Kα (λ = 1.5418 Å)).
Lines closer than 0.1° are merged.

Peak list (12 most intense, 2θ from 15° to 90°, by angle)
| 2θ/deg | d/Å | I/Imax |
| --- | --- | --- |
| 28.52 | 3.130 | 36 |
| 30.16 | 2.963 | 55 |
| 36.38 | 2.469 | 97 |
| 38.79 | 2.321 | 34 |
| 40.64 | 2.220 | 58 |
| 41.15 | 2.194 | 39 |
| 41.61 | 2.170 | 100 |
| 42.36 | 2.134 | 91 |
| 45.13 | 2.009 | 67 |
| 49.17 | 1.853 | 27 |
| 62.71 | 1.482 | 23 |
| 76.60 | 1.244 | 36 |

```
data_SiIr2
_chemical_formula_sum 'Si4 Ir8'
_space_group_name_H-M_alt 'P n m a'
_space_group_IT_number 62
_space_group_name_Hall '-P 2ac 2n'
_cell_length_a 5.3272
_cell_length_b 4.0176
_cell_length_c 7.7370
_cell_angle_alpha 90.00
_cell_angle_beta 90.00
_cell_angle_gamma 90.00
loop_
_atom_site_label
_atom_site_type_symbol
_atom_site_fract_x
_atom_site_fract_y
_atom_site_fract_z
Si1 Si 0.2076 0.2500 0.1011
Ir1 Ir 0.0219 0.2500 0.8006
Ir2 Ir 0.1594 0.2500 0.4243
```

***

Please write out number 3 again, unchanged.
Structure and computed powder diffraction line list of Si3Ir (a structure optimized by DFT (PBE); Cu Kα (λ = 1.5418 Å)).
Lines closer than 0.1° are merged.

Peak list (12 most intense, 2θ from 15° to 90°, by angle)
| 2θ/deg | d/Å | I/Imax |
| --- | --- | --- |
| 21.48 | 4.138 | 21 |
| 25.61 | 3.478 | 100 |
| 27.78 | 3.211 | 14 |
| 35.38 | 2.537 | 20 |
| 37.66 | 2.389 | 20 |
| 46.10 | 1.969 | 38 |
| 47.43 | 1.917 | 35 |
| 47.84 | 1.901 | 28 |
| 60.98 | 1.519 | 19 |
| 70.69 | 1.333 | 10 |
| 74.93 | 1.267 | 11 |
| 75.25 | 1.263 | 15 |

```
data_Si3Ir
_chemical_formula_sum 'Si6 Ir2'
_space_group_name_H-M_alt 'P 63 m c'
_space_group_IT_number 186
_space_group_name_Hall 'P 6c -2c'
_cell_length_a 4.7776
_cell_length_b 4.7776
_cell_length_c 6.4228
_cell_angle_alpha 90.00
_cell_angle_beta 90.00
_cell_angle_gamma 120.00
loop_
_atom_site_label
_atom_site_type_symbol
_atom_site_fract_x
_atom_site_fract_y
_atom_site_fract_z
Si1 Si 0.1673 0.3346 0.0000
Ir1 Ir 0.3333 0.6667 0.6732
```

***

> What is the formula in the fourth record?

SiIr2